Ac14Tl6Co3: theoretical powder diffractogram (a wavelength of 1.5418 Å), based on the GGA-PBE geometry in Alexandria.
Lines closer than 0.1° are merged.

Atomic structure:
Lattice parameters (Å, degrees): 11.5004 11.5004 7.4903 90.00 90.00 120.00
Space group P3m1 (No. 156)
Symmetry-distinct sites (fractional):
Ac 0.0000 0.0000 0.0000 (multiplicity 1)
Ac 0.0878 0.5439 0.2957 (multiplicity 3)
Ac 0.2058 0.4116 0.7488 (multiplicity 3)
Ac 0.2444 0.1222 0.4889 (multiplicity 3)
Ac 0.4228 0.2114 0.0071 (multiplicity 3)
Ac 0.6667 0.3333 0.5222 (multiplicity 1)
Tl 0.1488 0.2976 0.1982 (multiplicity 3)
Tl 0.5206 0.0412 0.7288 (multiplicity 3)
Co 0.0000 0.0000 0.6602 (multiplicity 1)
Co 0.3333 0.6667 0.5333 (multiplicity 1)
Co 0.6667 0.3333 0.1810 (multiplicity 1)

Most intense lines, 10° ≤ 2θ ≤ 90°, in order of rising 2θ:
- d 3.505, I 496, (0 1 2)
- d 3.364, I 1000, (2 1 1)
- d 3.035, I 832, (0 3 1)
- d 2.993, I 725, (2 0 2)
- d 2.875, I 593, (2 2 0)
- d 2.081, I 176, (1 2 3)
- d 1.995, I 249, (0 3 3)
- d 1.951, I 267, (3 2 2)
- d 1.925, I 225, (5 0 1)
- d 1.917, I 266, (3 3 0)